Entry 1:
Structure and calculated powder diffractogram of PmDyZn3 (the GGA-PBE geometry in Alexandria; Cu Kα X-rays).

Cell and atoms:
```
data_PmDyZn3
_cell_length_a 14.398
_cell_length_b 4.870
_cell_length_c 6.398
_cell_angle_alpha 90.00
_cell_angle_beta 99.86
_cell_angle_gamma 90.00
_space_group_name_H-M_alt 'C 1 2/m 1'
_space_group_IT_number 12
loop_
_space_group_symop_operation_xyz
'x,y,z'
'-x,-y,-z'
'-x,y,-z'
'x,-y,z'
'x+1/2,y+1/2,z'
'-x+1/2,-y+1/2,-z'
'-x+1/2,y+1/2,-z'
'x+1/2,-y+1/2,z'
loop_
_atom_site_label
_atom_site_fract_x
_atom_site_fract_y
_atom_site_fract_z
Pm1 0.112 0.000 0.453
Dy1 0.179 0.500 0.106
Zn1 0.016 0.500 0.715
Zn2 0.076 0.000 0.909
Zn3 0.200 0.500 0.656
```

Main lines, sorted by position (5° ≤ 2θ ≤ 70°):
| Position (°2θ) | I_rel | h k l |
| --- | --- | --- |
| 23.3 | 12.2 | 1 1 -1 |
| 28.3 | 34.8 | 3 1 -1 |
| 31.4 | 19.9 | 3 1 1 |
| 34.7 | 59.1 | 4 0 -2 |
| 35.4 | 100.0 | 1 1 2 |
| 36.7 | 85.3 | 5 1 0 |
| 36.9 | 56.0 | 0 2 0 |
| 51.6 | 38.5 | 4 2 -2 |
| 61.8 | 18.9 | 3 1 -4 |
| 64.3 | 12.8 | 9 1 -2 |
| 65.5 | 18.8 | 1 3 2 |
| 66.4 | 16.2 | 5 3 0 |

Entry 2:
Structure and calculated powder diffractogram of Ce3PuSi3 (the GGA-PBE geometry in Alexandria; Cu Kα X-rays).

Cell and atoms:
```
data_Ce3PuSi3
_cell_length_a 7.002
_cell_length_b 9.900
_cell_length_c 9.396
_cell_angle_alpha 90.00
_cell_angle_beta 91.18
_cell_angle_gamma 90.00
_space_group_name_H-M_alt 'C 1 2/m 1'
_space_group_IT_number 12
loop_
_space_group_symop_operation_xyz
'x,y,z'
'-x,-y,-z'
'-x,y,-z'
'x,-y,z'
'x+1/2,y+1/2,z'
'-x+1/2,-y+1/2,-z'
'-x+1/2,y+1/2,-z'
'x+1/2,-y+1/2,z'
loop_
_atom_site_label
_atom_site_fract_x
_atom_site_fract_y
_atom_site_fract_z
Ce1 0.000 0.177 0.000
Ce2 0.000 0.200 0.500
Ce3 0.083 0.500 0.790
Pu1 0.140 0.500 0.437
Si1 0.027 0.000 0.741
Si2 0.237 0.291 0.242
```

Main lines, sorted by position (5° ≤ 2θ ≤ 70°):
| Position (°2θ) | I_rel | h k l |
| --- | --- | --- |
| 9.4 | 91.0 | 0 0 1 |
| 15.5 | 35.2 | 1 1 0 |
| 18.3 | 29.1 | 1 1 1 |
| 18.9 | 33.2 | 0 0 2 |
| 20.3 | 26.0 | 0 2 1 |
| 24.3 | 41.1 | 1 1 -2 |
| 29.9 | 100.0 | 1 3 0 |
| 32.2 | 32.8 | 2 0 2 |
| 32.9 | 48.9 | 1 1 3 |
| 35.8 | 52.2 | 1 3 2 |
| 36.5 | 85.6 | 2 2 -2 |
| 55.7 | 32.9 | 0 6 0 |

Question: What is the formula in the first record?
Answer: PmDyZn3